This entry pairs a crystal structure of Ba2FeP4HO14 with its theoretical powder X-ray diffraction pattern. Radiation: Cu Kα (weighted mean of Kα1 and Kα2). Structure: a DFT-relaxed cell (PBE+U, the Materials Project).
Lines closer than 0.1° are merged.

Largest 8 diffraction maxima, in order of falling intensity, 10 to 80 degrees two-theta:
| d [Å] | 2θ/deg | I (rel.) |
| --- | --- | --- |
| 3.055 | 29.2 | 100 |
| 3.296 | 27.1 | 86 |
| 3.673 | 24.2 | 46 |
| 3.352 | 26.6 | 29 |
| 3.971 | 22.4 | 25 |
| 3.280 | 27.2 | 24 |
| 3.413 | 26.1 | 22 |
| 4.098 | 21.7 | 20 |

```
data_Ba2FeP4HO14
_chemical_formula_sum 'Ba2 Fe1 P4 H1 O14'
_symmetry_space_group_name_H-M 'P 1'
_symmetry_Int_Tables_number 1
_cell_length_a 4.943
_cell_length_b 7.707
_cell_length_c 8.977
_cell_angle_alpha 109.41
_cell_angle_beta 98.77
_cell_angle_gamma 103.43
loop_
_symmetry_equiv_pos_as_xyz
'x,y,z'
loop_
_atom_site_label
_atom_site_type_symbol
_atom_site_fract_x
_atom_site_fract_y
_atom_site_fract_z
Ba1 Ba 0.000 0.000 0.000
Ba2 Ba 0.225 0.939 0.477
Fe1 Fe 0.111 0.455 0.733
P1 P 0.533 0.641 0.101
P2 P 0.581 0.275 0.876
P3 P 0.650 0.632 0.593
P4 P 0.722 0.262 0.362
H1 H 0.355 0.534 0.271
O1 O 0.339 0.579 0.607
O2 O 0.346 0.638 0.231
O3 O 0.367 0.670 0.958
O4 O 0.378 0.295 0.738
O5 O 0.425 0.114 0.285
O6 O 0.478 0.077 0.883
O7 O 0.554 0.425 0.047
O8 O 0.671 0.479 0.423
O9 O 0.735 0.828 0.578
O10 O 0.826 0.788 0.181
O11 O 0.855 0.243 0.524
O12 O 0.864 0.627 0.735
O13 O 0.894 0.328 0.868
O14 O 0.918 0.268 0.250
```

This entry pairs a crystal structure of Ba2V2FeHO9 with its theoretical powder X-ray diffraction pattern. Radiation: Cu Kα (weighted mean of Kα1 and Kα2). Structure: a DFT-relaxed cell (PBE+U, the Materials Project).
Lines closer than 0.1° are merged.

Largest 8 diffraction maxima, in order of falling intensity, 10 to 80 degrees two-theta:
| d [Å] | 2θ/deg | I (rel.) |
| --- | --- | --- |
| 3.376 | 26.4 | 100 |
| 2.855 | 31.3 | 62 |
| 3.106 | 28.7 | 58 |
| 3.134 | 28.5 | 37 |
| 2.206 | 40.9 | 28 |
| 2.390 | 37.6 | 25 |
| 1.776 | 51.5 | 21 |
| 1.961 | 46.3 | 19 |

```
data_Ba2V2FeHO9
_chemical_formula_sum 'Ba4 V4 Fe2 H2 O18'
_symmetry_space_group_name_H-M 'P 1'
_symmetry_Int_Tables_number 1
_cell_length_a 8.021
_cell_length_b 6.268
_cell_length_c 9.321
_cell_angle_alpha 90.00
_cell_angle_beta 112.94
_cell_angle_gamma 90.00
loop_
_symmetry_equiv_pos_as_xyz
'x,y,z'
loop_
_atom_site_label
_atom_site_type_symbol
_atom_site_fract_x
_atom_site_fract_y
_atom_site_fract_z
Ba1 Ba 0.180 0.250 0.089
Ba2 Ba 0.235 0.750 0.746
Ba3 Ba 0.765 0.250 0.254
Ba4 Ba 0.820 0.750 0.911
V1 V 0.065 0.750 0.327
V2 V 0.454 0.750 0.167
V3 V 0.546 0.250 0.833
V4 V 0.935 0.250 0.673
Fe1 Fe 0.500 0.000 0.500
Fe2 Fe 0.500 0.500 0.500
H1 H 0.235 0.250 0.481
H2 H 0.765 0.750 0.519
O1 O 0.001 0.530 0.207
O2 O 0.001 0.970 0.207
O3 O 0.050 0.250 0.551
O4 O 0.232 0.750 0.042
O5 O 0.309 0.750 0.451
O6 O 0.325 0.250 0.431
O7 O 0.421 0.250 0.945
O8 O 0.497 0.513 0.283
O9 O 0.497 0.987 0.283
O10 O 0.503 0.013 0.717
O11 O 0.503 0.487 0.717
O12 O 0.579 0.750 0.055
O13 O 0.675 0.750 0.569
O14 O 0.691 0.250 0.549
O15 O 0.768 0.250 0.958
O16 O 0.950 0.750 0.449
O17 O 0.999 0.030 0.793
O18 O 0.999 0.470 0.793
```

This entry pairs a crystal structure of BaHoFe4O7 with its theoretical powder X-ray diffraction pattern. Radiation: Cu Kα (weighted mean of Kα1 and Kα2). Structure: a DFT-relaxed cell (PBE+U, the Materials Project).
Lines closer than 0.1° are merged.

Largest 8 diffraction maxima, in order of falling intensity, 10 to 80 degrees two-theta:
| d [Å] | 2θ/deg | I (rel.) |
| --- | --- | --- |
| 2.712 | 33.0 | 100 |
| 3.230 | 27.6 | 62 |
| 2.789 | 32.1 | 51 |
| 1.615 | 57.0 | 35 |
| 3.170 | 28.2 | 31 |
| 1.841 | 49.5 | 28 |
| 2.620 | 34.2 | 27 |
| 1.728 | 53.0 | 25 |

```
data_BaHoFe4O7
_chemical_formula_sum 'Ba1 Ho1 Fe4 O7'
_symmetry_space_group_name_H-M 'P 1'
_symmetry_Int_Tables_number 1
_cell_length_a 6.464
_cell_length_b 6.464
_cell_length_c 6.464
_cell_angle_alpha 121.27
_cell_angle_beta 121.27
_cell_angle_gamma 87.81
loop_
_symmetry_equiv_pos_as_xyz
'x,y,z'
loop_
_atom_site_label
_atom_site_type_symbol
_atom_site_fract_x
_atom_site_fract_y
_atom_site_fract_z
Ba1 Ba 0.000 0.000 0.000
Ho1 Ho 0.750 0.250 0.500
Fe1 Fe 0.342 0.110 0.712
Fe2 Fe 0.370 0.658 0.769
Fe3 Fe 0.398 0.630 0.288
Fe4 Fe 0.890 0.602 0.231
O1 O 0.024 0.426 0.996
O2 O 0.429 0.028 0.004
O3 O 0.500 0.500 0.000
O4 O 0.505 0.005 0.500
O5 O 0.574 0.571 0.598
O6 O 0.972 0.976 0.402
O7 O 0.995 0.495 0.500
```

This entry pairs a crystal structure of BaHoFe4O7 with its theoretical powder X-ray diffraction pattern. Radiation: Cu Kα (weighted mean of Kα1 and Kα2). Structure: a DFT-relaxed cell (PBE+U, the Materials Project).
Lines closer than 0.1° are merged.

Largest 8 diffraction maxima, in order of falling intensity, 10 to 80 degrees two-theta:
| d [Å] | 2θ/deg | I (rel.) |
| --- | --- | --- |
| 2.767 | 32.4 | 100 |
| 3.245 | 27.5 | 60 |
| 1.622 | 56.7 | 38 |
| 1.766 | 51.8 | 37 |
| 1.873 | 48.6 | 26 |
| 2.649 | 33.8 | 19 |
| 1.226 | 77.9 | 14 |
| 1.400 | 66.8 | 11 |

```
data_BaHoFe4O7
_chemical_formula_sum 'Ba1 Ho1 Fe4 O7'
_symmetry_space_group_name_H-M 'P 1'
_symmetry_Int_Tables_number 1
_cell_length_a 6.489
_cell_length_b 6.489
_cell_length_c 6.489
_cell_angle_alpha 60.00
_cell_angle_beta 60.00
_cell_angle_gamma 60.00
loop_
_symmetry_equiv_pos_as_xyz
'x,y,z'
loop_
_atom_site_label
_atom_site_type_symbol
_atom_site_fract_x
_atom_site_fract_y
_atom_site_fract_z
Ba1 Ba 0.000 0.000 0.000
Ho1 Ho 0.750 0.750 0.750
Fe1 Fe 0.368 0.368 0.368
Fe2 Fe 0.368 0.368 0.896
Fe3 Fe 0.368 0.896 0.368
Fe4 Fe 0.896 0.368 0.368
O1 O 0.500 0.500 0.500
O2 O 0.504 0.504 0.996
O3 O 0.504 0.996 0.504
O4 O 0.504 0.996 0.996
O5 O 0.996 0.504 0.504
O6 O 0.996 0.504 0.996
O7 O 0.996 0.996 0.504
```

This entry pairs a crystal structure of BaHoFe4O7 with its theoretical powder X-ray diffraction pattern. Radiation: Cu Kα (weighted mean of Kα1 and Kα2). Structure: a DFT-relaxed cell (PBE+U, the Materials Project).
Lines closer than 0.1° are merged.

Largest 8 diffraction maxima, in order of falling intensity, 10 to 80 degrees two-theta:
| d [Å] | 2θ/deg | I (rel.) |
| --- | --- | --- |
| 3.210 | 27.8 | 100 |
| 3.262 | 27.3 | 65 |
| 2.730 | 32.8 | 63 |
| 2.701 | 33.2 | 59 |
| 2.792 | 32.1 | 55 |
| 2.803 | 31.9 | 54 |
| 2.759 | 32.5 | 48 |
| 2.674 | 33.5 | 41 |

```
data_BaHoFe4O7
_chemical_formula_sum 'Ba2 Ho2 Fe8 O14'
_symmetry_space_group_name_H-M 'P 1'
_symmetry_Int_Tables_number 1
_cell_length_a 6.289
_cell_length_b 9.350
_cell_length_c 6.408
_cell_angle_alpha 90.00
_cell_angle_beta 91.65
_cell_angle_gamma 90.00
loop_
_symmetry_equiv_pos_as_xyz
'x,y,z'
loop_
_atom_site_label
_atom_site_type_symbol
_atom_site_fract_x
_atom_site_fract_y
_atom_site_fract_z
Ba1 Ba 0.240 0.000 0.233
Ba2 Ba 0.760 0.500 0.767
Ho1 Ho 0.255 0.250 0.751
Ho2 Ho 0.745 0.750 0.249
Fe1 Fe 0.004 0.866 0.768
Fe2 Fe 0.231 0.619 0.506
Fe3 Fe 0.271 0.624 0.999
Fe4 Fe 0.478 0.855 0.718
Fe5 Fe 0.522 0.355 0.282
Fe6 Fe 0.729 0.124 0.001
Fe7 Fe 0.769 0.119 0.494
Fe8 Fe 0.996 0.366 0.232
O1 O 0.033 0.772 0.035
O2 O 0.050 0.229 0.451
O3 O 0.236 0.489 0.751
O4 O 0.239 0.999 0.759
O5 O 0.246 0.487 0.246
O6 O 0.444 0.774 0.436
O7 O 0.455 0.224 0.046
O8 O 0.545 0.724 0.954
O9 O 0.556 0.274 0.564
O10 O 0.754 0.987 0.754
O11 O 0.761 0.499 0.241
O12 O 0.764 0.989 0.249
O13 O 0.950 0.729 0.549
O14 O 0.967 0.272 0.965
```

This entry pairs a crystal structure of BaInFeWO6 with its theoretical powder X-ray diffraction pattern. Radiation: Cu Kα (weighted mean of Kα1 and Kα2). Structure: a DFT-relaxed cell (PBE+U, the Materials Project).
Lines closer than 0.1° are merged.

Largest 8 diffraction maxima, in order of falling intensity, 10 to 80 degrees two-theta:
| d [Å] | 2θ/deg | I (rel.) |
| --- | --- | --- |
| 2.876 | 31.1 | 100 |
| 1.660 | 55.3 | 39 |
| 2.033 | 44.6 | 30 |
| 1.438 | 64.8 | 18 |
| 1.286 | 73.7 | 17 |
| 4.696 | 18.9 | 17 |
| 2.452 | 36.6 | 9 |
| 1.866 | 48.8 | 4 |

```
data_BaInFeWO6
_chemical_formula_sum 'Ba1 In1 Fe1 W1 O6'
_symmetry_space_group_name_H-M 'P 1'
_symmetry_Int_Tables_number 1
_cell_length_a 5.751
_cell_length_b 5.751
_cell_length_c 5.751
_cell_angle_alpha 60.00
_cell_angle_beta 60.00
_cell_angle_gamma 60.00
loop_
_symmetry_equiv_pos_as_xyz
'x,y,z'
loop_
_atom_site_label
_atom_site_type_symbol
_atom_site_fract_x
_atom_site_fract_y
_atom_site_fract_z
Ba1 Ba 0.000 0.000 0.000
In1 In 0.500 0.500 0.500
Fe1 Fe 0.250 0.250 0.250
W1 W 0.750 0.750 0.750
O1 O 0.508 0.508 0.992
O2 O 0.508 0.992 0.508
O3 O 0.508 0.992 0.992
O4 O 0.992 0.508 0.508
O5 O 0.992 0.508 0.992
O6 O 0.992 0.992 0.508
```

This entry pairs a crystal structure of KBaNa2Ti3FeSi4O18 with its theoretical powder X-ray diffraction pattern. Radiation: Cu Kα (weighted mean of Kα1 and Kα2). Structure: a DFT-relaxed cell (PBE+U, the Materials Project).
Lines closer than 0.1° are merged.

Largest 8 diffraction maxima, in order of falling intensity, 10 to 80 degrees two-theta:
| d [Å] | 2θ/deg | I (rel.) |
| --- | --- | --- |
| 2.805 | 31.9 | 100 |
| 3.787 | 23.5 | 53 |
| 6.741 | 13.1 | 51 |
| 3.489 | 25.5 | 51 |
| 3.105 | 28.8 | 46 |
| 3.416 | 26.1 | 43 |
| 2.665 | 33.6 | 34 |
| 2.836 | 31.6 | 31 |

```
data_KBaNa2Ti3FeSi4O18
_chemical_formula_sum 'K1 Ba1 Na2 Ti3 Fe1 Si4 O18'
_symmetry_space_group_name_H-M 'P 1'
_symmetry_Int_Tables_number 1
_cell_length_a 5.390
_cell_length_b 7.135
_cell_length_c 10.907
_cell_angle_alpha 71.01
_cell_angle_beta 83.84
_cell_angle_gamma 89.99
loop_
_symmetry_equiv_pos_as_xyz
'x,y,z'
loop_
_atom_site_label
_atom_site_type_symbol
_atom_site_fract_x
_atom_site_fract_y
_atom_site_fract_z
K1 K 0.000 0.000 0.000
Ba1 Ba 0.479 0.440 0.120
Na1 Na 0.238 0.975 0.564
Na2 Na 0.737 0.717 0.565
Ti1 Ti 0.038 0.569 0.847
Ti2 Ti 0.440 0.854 0.280
Ti3 Ti 0.736 0.216 0.565
Fe1 Fe 0.239 0.441 0.563
Si1 Si 0.528 0.297 0.841
Si2 Si 0.542 0.867 0.839
Si3 Si 0.934 0.139 0.290
Si4 Si 0.948 0.577 0.287
O1 O 0.012 0.217 0.654
O2 O 0.086 0.624 0.678
O3 O 0.202 0.071 0.237
O4 O 0.209 0.702 0.218
O5 O 0.270 0.360 0.911
O6 O 0.279 0.739 0.892
O7 O 0.394 0.742 0.448
O8 O 0.465 0.311 0.469
O9 O 0.522 0.051 0.900
O10 O 0.536 0.376 0.681
O11 O 0.585 0.958 0.679
O12 O 0.697 0.074 0.230
O13 O 0.707 0.697 0.230
O14 O 0.765 0.367 0.898
O15 O 0.776 0.735 0.899
O16 O 0.890 0.072 0.449
O17 O 0.940 0.497 0.447
O18 O 0.954 0.388 0.227
```

This entry pairs a crystal structure of BaLaFe2O6 with its theoretical powder X-ray diffraction pattern. Radiation: Cu Kα (weighted mean of Kα1 and Kα2). Structure: a DFT-relaxed cell (PBE+U, the Materials Project).
Lines closer than 0.1° are merged.

Largest 8 diffraction maxima, in order of falling intensity, 10 to 80 degrees two-theta:
| d [Å] | 2θ/deg | I (rel.) |
| --- | --- | --- |
| 2.812 | 31.8 | 100 |
| 1.624 | 56.7 | 38 |
| 1.989 | 45.6 | 33 |
| 1.406 | 66.5 | 20 |
| 2.296 | 39.2 | 18 |
| 1.258 | 75.6 | 16 |
| 3.977 | 22.4 | 12 |
| 1.779 | 51.4 | 6 |

```
data_BaLaFe2O6
_chemical_formula_sum 'Ba1 La1 Fe2 O6'
_symmetry_space_group_name_H-M 'P 1'
_symmetry_Int_Tables_number 1
_cell_length_a 5.625
_cell_length_b 5.625
_cell_length_c 5.625
_cell_angle_alpha 60.00
_cell_angle_beta 60.00
_cell_angle_gamma 60.00
loop_
_symmetry_equiv_pos_as_xyz
'x,y,z'
loop_
_atom_site_label
_atom_site_type_symbol
_atom_site_fract_x
_atom_site_fract_y
_atom_site_fract_z
Ba1 Ba 0.000 0.000 0.000
La1 La 0.500 0.500 0.500
Fe1 Fe 0.250 0.250 0.250
Fe2 Fe 0.750 0.750 0.750
O1 O 0.000 0.000 0.500
O2 O 0.000 0.500 0.000
O3 O 0.000 0.500 0.500
O4 O 0.500 0.000 0.000
O5 O 0.500 0.000 0.500
O6 O 0.500 0.500 0.000
```

This entry pairs a crystal structure of BaLaFe2O6 with its theoretical powder X-ray diffraction pattern. Radiation: Cu Kα (weighted mean of Kα1 and Kα2). Structure: a DFT-relaxed cell (PBE+U, the Materials Project).
Lines closer than 0.1° are merged.

Largest 8 diffraction maxima, in order of falling intensity, 10 to 80 degrees two-theta:
| d [Å] | 2θ/deg | I (rel.) |
| --- | --- | --- |
| 2.826 | 31.7 | 100 |
| 2.798 | 32.0 | 49 |
| 1.621 | 56.8 | 38 |
| 1.978 | 45.9 | 32 |
| 2.300 | 39.2 | 27 |
| 1.413 | 66.1 | 20 |
| 1.637 | 56.2 | 19 |
| 2.019 | 44.9 | 17 |

```
data_BaLaFe2O6
_chemical_formula_sum 'Ba1 La1 Fe2 O6'
_symmetry_space_group_name_H-M 'P 1'
_symmetry_Int_Tables_number 1
_cell_length_a 5.653
_cell_length_b 5.653
_cell_length_c 5.653
_cell_angle_alpha 120.67
_cell_angle_beta 120.67
_cell_angle_gamma 88.85
loop_
_symmetry_equiv_pos_as_xyz
'x,y,z'
loop_
_atom_site_label
_atom_site_type_symbol
_atom_site_fract_x
_atom_site_fract_y
_atom_site_fract_z
Ba1 Ba 0.000 0.000 0.000
La1 La 0.500 0.500 0.000
Fe1 Fe 0.250 0.750 0.500
Fe2 Fe 0.750 0.250 0.500
O1 O 0.008 0.508 0.500
O2 O 0.492 0.992 0.500
O3 O 0.505 0.005 0.011
O4 O 0.505 0.495 0.500
O5 O 0.995 0.005 0.500
O6 O 0.995 0.495 0.989
```